For Na3Ga9Cu2, a crystal structure in Alexandria, relaxed with PBE gives the calculated X-ray powder pattern in this record (a wavelength of 1.5418 Å).
Lines closer than 0.1° are merged.

Atomic structure:
Unit cell a=4.264 b=9.867 c=12.498 alpha=90.00 beta=90.00 gamma=90.00
Space group Immm (No. 71)
Asymmetric unit:
Na: 0.000 0.000 0.000 [2 per cell]
Na: 0.000 0.000 0.313 [4 per cell]
Ga: 0.000 0.284 0.126 [8 per cell]
Ga: 0.000 0.365 0.332 [8 per cell]
Ga: 0.000 0.500 0.000 [2 per cell]
Cu: 0.000 0.218 0.500 [4 per cell]

Largest 8 diffraction maxima, by angle, 10° ≤ 2θ ≤ 90°:
- (0 2 0), 17.98 deg, I 60
- (1 1 0), 22.72 deg, I 44
- (1 3 0), 34.44 deg, I 34
- (1 2 3), 35.18 deg, I 100
- (1 3 2), 37.41 deg, I 39
- (2 0 0), 42.39 deg, I 62
- (1 3 4), 45.33 deg, I 47
- (1 2 5), 45.93 deg, I 37